Diffraction record for MnTe2PbO6. The powder diffraction line list is calculated, not measured: it uses a crystal structure in Alexandria, relaxed with PBE+U and Cu Kα X-rays.
Lines closer than 0.1° are merged.

Crystal structure
a b c (Å): 7.2108 7.2108 6.7607
angles (deg): 101.26 101.26 88.87
Positions (direct):
Mn1 0.2025 0.7975 0.7500
Mn2 0.7975 0.2025 0.2500
Te1 0.0708 0.3015 0.8133
Te2 0.3015 0.0708 0.3133
Te3 0.6985 0.9292 0.6867
Te4 0.9292 0.6985 0.1867
Pb1 0.4136 0.5864 0.2500
Pb2 0.5864 0.4136 0.7500
O1 0.0924 0.2032 0.2037
O2 0.1203 0.6794 0.4206
O3 0.2032 0.0924 0.7037
O4 0.2609 0.4949 0.8308
O5 0.3206 0.8797 0.0794
O6 0.4949 0.2609 0.3308
O7 0.5051 0.7391 0.6692
O8 0.6794 0.1203 0.9206
O9 0.7391 0.5051 0.1692
O10 0.7968 0.9076 0.2963
O11 0.8797 0.3206 0.5794
O12 0.9076 0.7968 0.7963

Top 10 peaks for 2θ = 10–80°, in order of rising 2θ:
d [Å]	2θ/deg	Rel. int.
5.333	16.62	60
3.397	26.24	89
3.252	27.43	87
3.138	28.44	100
2.967	30.12	87
2.879	31.06	98
2.624	34.17	52
2.282	39.49	36
1.870	48.68	39
1.787	51.12	28